(1)
DyHRu: computed X-ray diffraction stick pattern (Cu Ka), based on a structure optimized by DFT (GGA-PBE).

```
data_DyHRu
_cell_length_a 3.0928
_cell_length_b 13.8386
_cell_length_c 16.5861
_cell_angle_alpha 90.00
_cell_angle_beta 90.00
_cell_angle_gamma 90.00
_symmetry_space_group_name_H-M 'F d d d'
_symmetry_Int_Tables_number 70
loop_
_symmetry_equiv_pos_as_xyz
'x,y,z'
'-x,-y,-z'
'-x+1/4,-y+1/4,z'
'x+1/4,y+1/4,-z'
'x,-y+1/4,-z+1/4'
'-x,y+1/4,z+1/4'
'-x+1/4,y,-z+1/4'
'x+1/4,-y,z+1/4'
'x,y+1/2,z+1/2'
'-x,-y+1/2,-z+1/2'
'-x+1/4,-y+3/4,z+1/2'
'x+1/4,y+3/4,-z+1/2'
'x,-y+3/4,-z+3/4'
'-x,y+3/4,z+3/4'
'-x+1/4,y+1/2,-z+3/4'
'x+1/4,-y+1/2,z+3/4'
'x+1/2,y,z+1/2'
'-x+1/2,-y,-z+1/2'
'-x+3/4,-y+1/4,z+1/2'
'x+3/4,y+1/4,-z+1/2'
'x+1/2,-y+1/4,-z+3/4'
'-x+1/2,y+1/4,z+3/4'
'-x+3/4,y,-z+3/4'
'x+3/4,-y,z+3/4'
'x+1/2,y+1/2,z'
'-x+1/2,-y+1/2,-z'
'-x+3/4,-y+3/4,z'
'x+3/4,y+3/4,-z'
'x+1/2,-y+3/4,-z+1/4'
'-x+1/2,y+3/4,z+1/4'
'-x+3/4,y+1/2,-z+1/4'
'x+3/4,-y+1/2,z+1/4'
loop_
_atom_site_label
_atom_site_type_symbol
_atom_site_fract_x
_atom_site_fract_y
_atom_site_fract_z
_atom_site_occupancy
Dy1 Dy 0.1250 0.1250 0.0183 1
H1 H 0.1250 0.0374 0.6250 1
Ru1 Ru 0.1250 0.2913 0.1250 1
```

Principal peaks in the range 2θ = 10–90°, low angle first:
2θ = 30.09°, d = 2.970 Å, intensity 1000
2θ = 33.74°, d = 2.656 Å, intensity 934
2θ = 34.95°, d = 2.567 Å, intensity 503
2θ = 38.65°, d = 2.330 Å, intensity 484
2θ = 44.25°, d = 2.047 Å, intensity 351
2θ = 44.61°, d = 2.031 Å, intensity 738


(2)
Re5Tc7: computed X-ray diffraction stick pattern (Cu Ka), based on a structure optimized by DFT (GGA-PBE).

```
data_Re5Tc7
_cell_length_a 7.5478
_cell_length_b 4.3603
_cell_length_c 11.5230
_cell_angle_alpha 90.00
_cell_angle_beta 102.60
_cell_angle_gamma 90.00
_symmetry_space_group_name_H-M 'C 1 2/m 1'
_symmetry_Int_Tables_number 12
loop_
_symmetry_equiv_pos_as_xyz
'x,y,z'
'-x,-y,-z'
'-x,y,-z'
'x,-y,z'
'x+1/2,y+1/2,z'
'-x+1/2,-y+1/2,-z'
'-x+1/2,y+1/2,-z'
'x+1/2,-y+1/2,z'
loop_
_atom_site_label
_atom_site_type_symbol
_atom_site_fract_x
_atom_site_fract_y
_atom_site_fract_z
_atom_site_occupancy
Re1 Re 0.0000 0.0000 0.0000 1
Re2 Re 0.1018 0.5000 0.8064 1
Re3 Re 0.1466 0.0000 0.4402 1
Tc1 Tc 0.0000 0.5000 0.5000 1
Tc2 Tc 0.0722 0.0000 0.2161 1
Tc3 Tc 0.1916 0.5000 0.0749 1
Tc4 Tc 0.2250 0.0000 0.6723 1
```

Principal peaks in the range 2θ = 10–90°, low angle first:
2θ = 37.79°, d = 2.380 Å, intensity 281
2θ = 41.43°, d = 2.179 Å, intensity 1000
2θ = 42.26°, d = 2.139 Å, intensity 451
2θ = 60.67°, d = 1.526 Å, intensity 155
2θ = 75.57°, d = 1.258 Å, intensity 201
2θ = 76.14°, d = 1.250 Å, intensity 169


(3)
AgAsBrF6: computed X-ray diffraction stick pattern (Cu Ka), based on a structure optimized by DFT (GGA-PBE).

```
data_AgAsBrF6
_cell_length_a 5.0036
_cell_length_b 5.3876
_cell_length_c 5.8942
_cell_angle_alpha 86.38
_cell_angle_beta 89.28
_cell_angle_gamma 77.22
_symmetry_space_group_name_H-M 'P 1'
_symmetry_Int_Tables_number 1
loop_
_symmetry_equiv_pos_as_xyz
'x,y,z'
loop_
_atom_site_label
_atom_site_type_symbol
_atom_site_fract_x
_atom_site_fract_y
_atom_site_fract_z
_atom_site_occupancy
Ag1 Ag 0.0000 0.0000 0.0000 1
As1 As 0.0212 0.4542 0.4247 1
Br1 Br 0.5132 0.9478 0.9011 1
F1 F 0.1683 0.5733 0.1704 1
F2 F 0.2485 0.5636 0.5966 1
F3 F 0.2525 0.1570 0.4022 1
F4 F 0.7837 0.7491 0.4298 1
F5 F 0.7913 0.3417 0.2447 1
F6 F 0.8687 0.3321 0.6702 1
```

Principal peaks in the range 2θ = 10–90°, low angle first:
2θ = 18.18°, d = 4.880 Å, intensity 465
2θ = 22.00°, d = 4.041 Å, intensity 1000
2θ = 23.41°, d = 3.799 Å, intensity 937
2θ = 30.39°, d = 2.941 Å, intensity 282
2θ = 34.20°, d = 2.622 Å, intensity 265
2θ = 39.80°, d = 2.265 Å, intensity 268


(4)
Ca2NbCrCo: computed X-ray diffraction stick pattern (Cu Ka), based on a structure optimized by DFT (GGA-PBE).

```
data_Ca2NbCrCo
_cell_length_a 5.4404
_cell_length_b 5.4404
_cell_length_c 4.3901
_cell_angle_alpha 90.00
_cell_angle_beta 90.00
_cell_angle_gamma 90.00
_symmetry_space_group_name_H-M 'P 4/m m m'
_symmetry_Int_Tables_number 123
_symmetry_space_group_name_Hall '-P 4 2'
loop_
_atom_site_label
_atom_site_type_symbol
_atom_site_fract_x
_atom_site_fract_y
_atom_site_fract_z
_atom_site_occupancy
Ca1 Ca 0.0000 0.5000 0.0000 1
Nb1 Nb 0.0000 0.0000 0.5000 1
Cr1 Cr 0.0000 0.0000 0.0000 1
Co1 Co 0.5000 0.5000 0.5000 1
```

Principal peaks in the range 2θ = 10–90°, low angle first:
2θ = 16.29°, d = 5.440 Å, intensity 512
2θ = 23.12°, d = 3.847 Å, intensity 457
2θ = 30.91°, d = 2.893 Å, intensity 960
2θ = 32.93°, d = 2.720 Å, intensity 1000
2θ = 47.26°, d = 1.923 Å, intensity 341
2θ = 53.65°, d = 1.708 Å, intensity 455


(5)
TmH6Ir: computed X-ray diffraction stick pattern (Cu Ka), based on a structure optimized by DFT (GGA-PBE).

```
data_TmH6Ir
_cell_length_a 4.3781
_cell_length_b 4.3781
_cell_length_c 11.5188
_cell_angle_alpha 90.00
_cell_angle_beta 90.00
_cell_angle_gamma 120.00
_symmetry_space_group_name_H-M 'R -3 m'
_symmetry_Int_Tables_number 166
_symmetry_space_group_name_Hall '-R 3 2"'
loop_
_atom_site_label
_atom_site_type_symbol
_atom_site_fract_x
_atom_site_fract_y
_atom_site_fract_z
_atom_site_occupancy
Tm1 Tm 0.0000 0.0000 0.0000 1
H1 H 0.0309 0.5154 0.9133 1
Ir1 Ir 0.0000 0.0000 0.5000 1
```

Principal peaks in the range 2θ = 10–90°, low angle first:
2θ = 28.18°, d = 3.167 Å, intensity 1000
2θ = 39.29°, d = 2.293 Å, intensity 428
2θ = 41.24°, d = 2.189 Å, intensity 365
2θ = 50.70°, d = 1.801 Å, intensity 208
2θ = 64.57°, d = 1.443 Å, intensity 200
2θ = 67.33°, d = 1.391 Å, intensity 176


(6)
Nd6Tm: computed X-ray diffraction stick pattern (Cu Ka), based on a structure optimized by DFT (GGA-PBE).

```
data_Nd6Tm
_cell_length_a 6.6104
_cell_length_b 6.6104
_cell_length_c 11.3732
_cell_angle_alpha 90.00
_cell_angle_beta 90.00
_cell_angle_gamma 90.00
_symmetry_space_group_name_H-M 'P 4/n b m'
_symmetry_Int_Tables_number 125
loop_
_symmetry_equiv_pos_as_xyz
'x,y,z'
'-x,-y,-z'
'-y+1/2,x,z'
'y+1/2,-x,-z'
'-x+1/2,-y+1/2,z'
'x+1/2,y+1/2,-z'
'y,-x+1/2,z'
'-y,x+1/2,-z'
'x,-y+1/2,-z'
'-x,y+1/2,z'
'-y+1/2,-x+1/2,-z'
'y+1/2,x+1/2,z'
'-x+1/2,y,-z'
'x+1/2,-y,z'
'y,x,-z'
'-y,-x,z'
loop_
_atom_site_label
_atom_site_type_symbol
_atom_site_fract_x
_atom_site_fract_y
_atom_site_fract_z
_atom_site_occupancy
Nd1 Nd 0.0815 0.5815 0.1397 1
Nd2 Nd 0.2500 0.2500 0.3637 1
Tm1 Tm 0.2500 0.7500 0.5000 1
```

Principal peaks in the range 2θ = 10–90°, low angle first:
2θ = 28.11°, d = 3.174 Å, intensity 1000
2θ = 30.36°, d = 2.944 Å, intensity 770
2θ = 31.27°, d = 2.861 Å, intensity 636
2θ = 34.18°, d = 2.623 Å, intensity 712
2θ = 38.52°, d = 2.337 Å, intensity 270
2θ = 54.48°, d = 1.684 Å, intensity 530


Copy entry 3 word for word.
AgAsBrF6: computed X-ray diffraction stick pattern (Cu Ka), based on a structure optimized by DFT (GGA-PBE).

```
data_AgAsBrF6
_cell_length_a 5.0036
_cell_length_b 5.3876
_cell_length_c 5.8942
_cell_angle_alpha 86.38
_cell_angle_beta 89.28
_cell_angle_gamma 77.22
_symmetry_space_group_name_H-M 'P 1'
_symmetry_Int_Tables_number 1
loop_
_symmetry_equiv_pos_as_xyz
'x,y,z'
loop_
_atom_site_label
_atom_site_type_symbol
_atom_site_fract_x
_atom_site_fract_y
_atom_site_fract_z
_atom_site_occupancy
Ag1 Ag 0.0000 0.0000 0.0000 1
As1 As 0.0212 0.4542 0.4247 1
Br1 Br 0.5132 0.9478 0.9011 1
F1 F 0.1683 0.5733 0.1704 1
F2 F 0.2485 0.5636 0.5966 1
F3 F 0.2525 0.1570 0.4022 1
F4 F 0.7837 0.7491 0.4298 1
F5 F 0.7913 0.3417 0.2447 1
F6 F 0.8687 0.3321 0.6702 1
```

Principal peaks in the range 2θ = 10–90°, low angle first:
2θ = 18.18°, d = 4.880 Å, intensity 465
2θ = 22.00°, d = 4.041 Å, intensity 1000
2θ = 23.41°, d = 3.799 Å, intensity 937
2θ = 30.39°, d = 2.941 Å, intensity 282
2θ = 34.20°, d = 2.622 Å, intensity 265
2θ = 39.80°, d = 2.265 Å, intensity 268